Record 1
Pr2SiH: simulated PXRD pattern (Cu Kα (weighted mean of Kα1 and Kα2)), based on a cell relaxed with PBE.
Kinematic intensities with the Lorentz-polarization factor, no thermal factor.

Structural model:
abc: 6.3558 6.3558 8.4287
angles: 90.00 90.00 120.00
Fractional positions:
1 Pr 0.1028 0.3934 0.3799
2 Pr 0.2907 0.8972 0.0465
3 Pr 0.3934 0.1028 0.6201
4 Pr 0.6066 0.7093 0.7132
5 Pr 0.7093 0.6066 0.2868
6 Pr 0.8972 0.2907 0.9535
7 Si 0.0000 0.5934 0.6667
8 Si 0.4066 0.4066 0.0000
9 Si 0.5934 0.0000 0.3333
10 H 0.0000 0.5531 0.1667
11 H 0.4469 0.4469 0.5000
12 H 0.5531 0.0000 0.8333

Largest 10 diffraction maxima, sorted by position, 15° ≤ 2θ ≤ 90°:
2θ (°)  intensity
19.26  25.9
26.64  100.0
28.08  65.7
30.05  56.5
31.85  18.9
34.28  39.1
39.09  35.1
44.88  25.0
46.15  23.1
54.91  29.6

---

Record 2
AcLa7Tb12: simulated PXRD pattern (Cu Kα (weighted mean of Kα1 and Kα2)), based on a cell relaxed with PBE.
Kinematic intensities with the Lorentz-polarization factor, no thermal factor.

Structural model:
abc: 9.9299 9.9299 9.9299
angles: 109.47 109.47 109.47
Fractional positions:
1 Ac 0.0000 0.0000 0.0000
2 La 0.0000 0.0000 0.5000
3 La 0.0000 0.5000 0.0000
4 La 0.0000 0.5000 0.5000
5 La 0.5000 0.0000 0.0000
6 La 0.5000 0.0000 0.5000
7 La 0.5000 0.5000 0.0000
8 La 0.5000 0.5000 0.5000
9 Tb 0.0008 0.2527 0.7481
10 Tb 0.2519 0.5046 0.2527
11 Tb 0.2519 0.9992 0.7473
12 Tb 0.2527 0.2519 0.5046
13 Tb 0.2527 0.7481 0.0008
14 Tb 0.4954 0.7473 0.7481
15 Tb 0.5046 0.2527 0.2519
16 Tb 0.7473 0.2519 0.9992
17 Tb 0.7473 0.7481 0.4954
18 Tb 0.7481 0.0008 0.2527
19 Tb 0.7481 0.4954 0.7473
20 Tb 0.9992 0.7473 0.2519

Largest 10 diffraction maxima, sorted by position, 15° ≤ 2θ ≤ 90°:
2θ (°)  intensity
15.46  17.4
21.93  15.6
26.94  80.3
31.20  100.0
44.71  74.5
52.97  37.6
55.53  26.2
71.77  15.1
73.94  33.4
82.41  25.3

---

Record 3
Al3Ru: simulated PXRD pattern (Cu Kα (weighted mean of Kα1 and Kα2)), based on a cell relaxed with PBE.
Kinematic intensities with the Lorentz-polarization factor, no thermal factor.

Structural model:
abc: 6.5284 6.5284 6.5928
angles: 90.00 90.00 90.00
Fractional positions:
1 Al 0.0000 0.5000 0.0000
2 Al 0.0000 0.5000 0.5000
3 Al 0.1553 0.1553 0.2353
4 Al 0.1553 0.1553 0.7647
5 Al 0.3447 0.6553 0.2647
6 Al 0.3447 0.6553 0.7353
7 Al 0.5000 0.0000 0.0000
8 Al 0.5000 0.0000 0.5000
9 Al 0.6553 0.3447 0.2647
10 Al 0.6553 0.3447 0.7353
11 Al 0.8447 0.8447 0.2353
12 Al 0.8447 0.8447 0.7647
13 Ru 0.1577 0.8423 0.0000
14 Ru 0.3423 0.3423 0.5000
15 Ru 0.6577 0.6577 0.5000
16 Ru 0.8423 0.1577 0.0000

Largest 10 diffraction maxima, sorted by position, 15° ≤ 2θ ≤ 90°:
2θ (°)  intensity
19.14  97.9
23.53  74.7
27.05  16.3
41.31  100.0
41.45  23.4
43.83  70.1
45.73  17.6
65.39  15.2
73.53  14.9
85.31  17.5

---

Record 4
Dy2Ir3: simulated PXRD pattern (Cu Kα (weighted mean of Kα1 and Kα2)), based on a cell relaxed with PBE.
Kinematic intensities with the Lorentz-polarization factor, no thermal factor.

Structural model:
abc: 5.5420 5.5420 7.6756
angles: 90.00 90.00 120.75
Fractional positions:
1 Dy 0.1543 0.8457 0.9019
2 Dy 0.3457 0.6543 0.4019
3 Dy 0.6543 0.3457 0.5981
4 Dy 0.8457 0.1543 0.0981
5 Ir 0.0000 0.0000 0.5000
6 Ir 0.1419 0.3581 0.7500
7 Ir 0.3581 0.1419 0.2500
8 Ir 0.5000 0.5000 0.0000
9 Ir 0.6419 0.8581 0.7500
10 Ir 0.8581 0.6419 0.2500

Largest 10 diffraction maxima, sorted by position, 15° ≤ 2θ ≤ 90°:
2θ (°)  intensity
21.78  30.0
29.90  44.8
34.41  97.9
39.62  100.0
39.90  72.0
40.45  72.8
44.40  25.6
59.45  20.6
71.70  31.9
82.32  19.0

---

Record 5
Np2InPtRh4: simulated PXRD pattern (Cu Kα (weighted mean of Kα1 and Kα2)), based on a cell relaxed with PBE.
Kinematic intensities with the Lorentz-polarization factor, no thermal factor.

Structural model:
abc: 5.8844 5.8844 13.7738
angles: 90.00 90.00 140.56
Fractional positions:
1 Np 0.1472 0.8528 0.5843
2 Np 0.1472 0.8528 0.9157
3 Np 0.8528 0.1472 0.0843
4 Np 0.8528 0.1472 0.4157
5 In 0.3762 0.6238 0.7500
6 In 0.6238 0.3762 0.2500
7 Pt 0.3030 0.6970 0.2500
8 Pt 0.6970 0.3030 0.7500
9 Rh 0.0355 0.9645 0.7500
10 Rh 0.1421 0.8579 0.0972
11 Rh 0.1421 0.8579 0.4028
12 Rh 0.5000 0.5000 0.0000
13 Rh 0.5000 0.5000 0.5000
14 Rh 0.8579 0.1421 0.5972
15 Rh 0.8579 0.1421 0.9028
16 Rh 0.9645 0.0355 0.2500

Largest 10 diffraction maxima, sorted by position, 15° ≤ 2θ ≤ 90°:
2θ (°)  intensity
23.80  19.3
30.84  23.4
33.13  19.7
35.44  31.9
35.67  100.0
39.24  35.1
42.50  42.9
45.69  35.7
46.42  22.2
61.77  18.7

---

Record 6
Th4Tl3Fe: simulated PXRD pattern (Cu Kα (weighted mean of Kα1 and Kα2)), based on a cell relaxed with PBE.
Kinematic intensities with the Lorentz-polarization factor, no thermal factor.

Structural model:
abc: 4.8800 11.3217 8.3998
angles: 90.00 90.00 90.00
Fractional positions:
1 Th 0.2500 0.0008 0.1661
2 Th 0.2500 0.2500 0.9364
3 Th 0.2500 0.4992 0.1661
4 Th 0.2500 0.7500 0.7457
5 Th 0.7500 0.2500 0.2543
6 Th 0.7500 0.5008 0.8339
7 Th 0.7500 0.7500 0.0636
8 Th 0.7500 0.9992 0.8339
9 Tl 0.2500 0.0897 0.5519
10 Tl 0.2500 0.4103 0.5519
11 Tl 0.2500 0.7500 0.3415
12 Tl 0.7500 0.2500 0.6585
13 Tl 0.7500 0.5897 0.4481
14 Tl 0.7500 0.9103 0.4481
15 Fe 0.2500 0.2500 0.2767
16 Fe 0.7500 0.7500 0.7233

Largest 10 diffraction maxima, sorted by position, 15° ≤ 2θ ≤ 90°:
2θ (°)  intensity
26.35  41.9
29.14  59.8
31.61  30.1
31.82  72.8
32.26  100.0
32.95  31.8
35.78  40.4
36.84  59.8
38.32  30.5
49.34  28.9

---

Record 7
La4Pm2H2Pb3: simulated PXRD pattern (Cu Kα (weighted mean of Kα1 and Kα2)), based on a cell relaxed with PBE.
Kinematic intensities with the Lorentz-polarization factor, no thermal factor.

Structural model:
abc: 13.7681 13.7681 13.7681
angles: 159.62 159.62 28.98
Fractional positions:
1 La 0.0847 0.5847 0.5000
2 La 0.4153 0.9153 0.5000
3 La 0.5847 0.0847 0.5000
4 La 0.9153 0.4153 0.5000
5 Pm 0.2012 0.2012 0.0000
6 Pm 0.7988 0.7988 0.0000
7 H 0.1088 0.1088 0.0000
8 H 0.8912 0.8912 0.0000
9 Pb 0.3226 0.3226 0.0000
10 Pb 0.5000 0.5000 0.0000
11 Pb 0.6774 0.6774 0.0000

Largest 10 diffraction maxima, sorted by position, 15° ≤ 2θ ≤ 90°:
2θ (°)  intensity
18.52  23.3
26.74  47.2
29.18  22.4
29.78  19.9
32.90  100.0
36.91  53.9
41.61  16.7
50.77  15.6
53.18  19.0
63.97  30.0

---

Number 6 is which compound? Th4Tl3Fe